Li4SbTe3O12: theoretical powder X-ray diffraction pattern (CuKα), based on the PBE geometry in the Materials Project.
No peak broadening, texture or thermal motion is included.

Most intense lines, 2θ = 5–70°, low angle first:
- 19.6 deg, I = 38
- 19.9 deg, I = 100
- 30.6 deg, I = 40
- 32.1 deg, I = 35
- 34.1 deg, I = 22
- 38.8 deg, I = 13
- 41.2 deg, I = 13
- 48.8 deg, I = 14
- 50.7 deg, I = 14
- 53.4 deg, I = 16

Atomic structure:
```
data_Li4SbTe3O12
_symmetry_space_group_name_H-M 'P 1'
_symmetry_Int_Tables_number 1
_cell_length_a 5.1334
_cell_length_b 9.1155
_cell_length_c 5.2352
_cell_angle_alpha 90.00
_cell_angle_beta 94.22
_cell_angle_gamma 90.00
loop_
_symmetry_equiv_pos_as_xyz
'x,y,z'
loop_
_atom_site_label
_atom_site_type_symbol
_atom_site_fract_x
_atom_site_fract_y
_atom_site_fract_z
_atom_site_occupancy
Li1 Li 0.0000 0.0000 0.0000 1
Li2 Li 0.0000 0.3183 0.5000 1
Li3 Li 0.5000 0.4849 0.5000 1
Li4 Li 0.5000 0.8449 0.0000 1
Sb1 Sb 0.5000 0.0642 0.5000 1
Te1 Te 0.0000 0.5674 0.0000 1
Te2 Te 0.0000 0.7620 0.5000 1
Te3 Te 0.5000 0.2524 0.0000 1
O1 O 0.2096 0.7297 0.8462 1
O2 O 0.2117 0.6031 0.3509 1
O3 O 0.2643 0.9184 0.3202 1
O4 O 0.2821 0.2256 0.2960 1
O5 O 0.2920 0.3921 0.8044 1
O6 O 0.2946 0.0877 0.8143 1
O7 O 0.7054 0.0877 0.1857 1
O8 O 0.7080 0.3921 0.1956 1
O9 O 0.7179 0.2256 0.7040 1
O10 O 0.7357 0.9184 0.6798 1
O11 O 0.7883 0.6031 0.6491 1
O12 O 0.7904 0.7297 0.1538 1
```

=====

K4Sb2O5: theoretical powder X-ray diffraction pattern (CuKα), based on the PBE geometry in the Materials Project.
No peak broadening, texture or thermal motion is included.

Most intense lines, 2θ = 5–70°, low angle first:
- 16.8 deg, I = 36
- 22.8 deg, I = 17
- 23.8 deg, I = 12
- 27.7 deg, I = 26
- 29.2 deg, I = 20
- 30.1 deg, I = 100
- 40.6 deg, I = 28
- 50.5 deg, I = 21
- 52.3 deg, I = 16
- 62.6 deg, I = 14

Atomic structure:
```
data_K4Sb2O5
_symmetry_space_group_name_H-M 'P 1'
_symmetry_Int_Tables_number 1
_cell_length_a 18.3615
_cell_length_b 6.4503
_cell_length_c 7.9749
_cell_angle_alpha 90.00
_cell_angle_beta 90.00
_cell_angle_gamma 90.00
loop_
_symmetry_equiv_pos_as_xyz
'x,y,z'
loop_
_atom_site_label
_atom_site_type_symbol
_atom_site_fract_x
_atom_site_fract_y
_atom_site_fract_z
_atom_site_occupancy
K1 K 0.0121 0.2500 0.1249 1
K2 K 0.0133 0.2500 0.6251 1
K3 K 0.1519 0.7500 0.1251 1
K4 K 0.1522 0.7500 0.6249 1
K5 K 0.3478 0.2500 0.1249 1
K6 K 0.3481 0.2500 0.6251 1
K7 K 0.4867 0.7500 0.1251 1
K8 K 0.4879 0.7500 0.6249 1
K9 K 0.5121 0.2500 0.3751 1
K10 K 0.5133 0.2500 0.8749 1
K11 K 0.6519 0.7500 0.3749 1
K12 K 0.6522 0.7500 0.8751 1
K13 K 0.8478 0.2500 0.3751 1
K14 K 0.8481 0.2500 0.8749 1
K15 K 0.9867 0.7500 0.3749 1
K16 K 0.9879 0.7500 0.8751 1
Sb1 Sb 0.1675 0.2500 0.3782 1
Sb2 Sb 0.1675 0.2500 0.8718 1
Sb3 Sb 0.3325 0.7500 0.3718 1
Sb4 Sb 0.3325 0.7500 0.8782 1
Sb5 Sb 0.6675 0.2500 0.1218 1
Sb6 Sb 0.6675 0.2500 0.6282 1
Sb7 Sb 0.8325 0.7500 0.1282 1
Sb8 Sb 0.8325 0.7500 0.6218 1
O1 O 0.0983 0.0220 0.3741 1
O2 O 0.0983 0.0220 0.8759 1
O3 O 0.0983 0.4780 0.3741 1
O4 O 0.0983 0.4780 0.8759 1
O5 O 0.1973 0.2500 0.6250 1
O6 O 0.3027 0.7500 0.1250 1
O7 O 0.4017 0.5220 0.3759 1
O8 O 0.4017 0.5220 0.8741 1
O9 O 0.4017 0.9780 0.3759 1
O10 O 0.4017 0.9780 0.8741 1
O11 O 0.5983 0.0220 0.1259 1
O12 O 0.5983 0.0220 0.6241 1
O13 O 0.5983 0.4780 0.1259 1
O14 O 0.5983 0.4780 0.6241 1
O15 O 0.6973 0.2500 0.8750 1
O16 O 0.8027 0.7500 0.3750 1
O17 O 0.9017 0.5220 0.1241 1
O18 O 0.9017 0.5220 0.6259 1
O19 O 0.9017 0.9780 0.1241 1
O20 O 0.9017 0.9780 0.6259 1
```

=====

BaCuTeF: theoretical powder X-ray diffraction pattern (CuKα), based on the PBE geometry in the Materials Project.
No peak broadening, texture or thermal motion is included.

Most intense lines, 2θ = 5–70°, low angle first:
- 27.4 deg, I = 100
- 28.4 deg, I = 23
- 34.2 deg, I = 40
- 40.6 deg, I = 38
- 43.1 deg, I = 20
- 47.9 deg, I = 26
- 49.7 deg, I = 38
- 58.7 deg, I = 12
- 60.6 deg, I = 14
- 66.0 deg, I = 12

Atomic structure:
```
data_BaCuTeF
_symmetry_space_group_name_H-M 'P 1'
_symmetry_Int_Tables_number 1
_cell_length_a 4.4488
_cell_length_b 4.4488
_cell_length_c 9.5266
_cell_angle_alpha 90.00
_cell_angle_beta 90.00
_cell_angle_gamma 90.00
loop_
_symmetry_equiv_pos_as_xyz
'x,y,z'
loop_
_atom_site_label
_atom_site_type_symbol
_atom_site_fract_x
_atom_site_fract_y
_atom_site_fract_z
_atom_site_occupancy
Ba1 Ba 0.2500 0.2500 0.1588 1
Ba2 Ba 0.7500 0.7500 0.8412 1
Cu1 Cu 0.2500 0.7500 0.5000 1
Cu2 Cu 0.7500 0.2500 0.5000 1
Te1 Te 0.2500 0.2500 0.6591 1
Te2 Te 0.7500 0.7500 0.3409 1
F1 F 0.2500 0.7500 0.0000 1
F2 F 0.7500 0.2500 0.0000 1
```

=====

Hf27Si6P10: theoretical powder X-ray diffraction pattern (CuKα), based on the PBE geometry in the Materials Project.
No peak broadening, texture or thermal motion is included.

Most intense lines, 2θ = 5–70°, low angle first:
- 29.0 deg, I = 51
- 31.9 deg, I = 89
- 35.5 deg, I = 80
- 37.1 deg, I = 90
- 37.4 deg, I = 40
- 38.1 deg, I = 45
- 38.4 deg, I = 100
- 52.1 deg, I = 37
- 58.6 deg, I = 32
- 61.7 deg, I = 31

Atomic structure:
```
data_Hf27Si6P10
_symmetry_space_group_name_H-M 'P 1'
_symmetry_Int_Tables_number 1
_cell_length_a 15.2175
_cell_length_b 15.2175
_cell_length_c 15.2175
_cell_angle_alpha 166.76
_cell_angle_beta 101.85
_cell_angle_gamma 79.71
loop_
_symmetry_equiv_pos_as_xyz
'x,y,z'
loop_
_atom_site_label
_atom_site_type_symbol
_atom_site_fract_x
_atom_site_fract_y
_atom_site_fract_z
_atom_site_occupancy
Hf1 Hf 0.0000 0.0000 0.0000 1
Hf2 Hf 0.0145 0.4206 0.5939 1
Hf3 Hf 0.0504 0.1826 0.8678 1
Hf4 Hf 0.1006 0.7839 0.3167 1
Hf5 Hf 0.1734 0.5794 0.5939 1
Hf6 Hf 0.1776 0.9309 0.2468 1
Hf7 Hf 0.2193 0.7193 0.5000 1
Hf8 Hf 0.2612 0.3915 0.8697 1
Hf9 Hf 0.3148 0.1826 0.1322 1
Hf10 Hf 0.3159 0.0691 0.2468 1
Hf11 Hf 0.3518 0.8518 0.5000 1
Hf12 Hf 0.4182 0.0000 0.4182 1
Hf13 Hf 0.4672 0.7839 0.6833 1
Hf14 Hf 0.4781 0.6085 0.8697 1
Hf15 Hf 0.5219 0.3915 0.1303 1
Hf16 Hf 0.5328 0.2161 0.3167 1
Hf17 Hf 0.5818 0.0000 0.5818 1
Hf18 Hf 0.6482 0.1482 0.5000 1
Hf19 Hf 0.6841 0.9309 0.7532 1
Hf20 Hf 0.6852 0.8174 0.8678 1
Hf21 Hf 0.7388 0.6085 0.1303 1
Hf22 Hf 0.7807 0.2807 0.5000 1
Hf23 Hf 0.8224 0.0691 0.7532 1
Hf24 Hf 0.8266 0.4206 0.4061 1
Hf25 Hf 0.8994 0.2161 0.6833 1
Hf26 Hf 0.9496 0.8174 0.1322 1
Hf27 Hf 0.9855 0.5794 0.4061 1
Si1 Si 0.0750 0.3423 0.7326 1
Si2 Si 0.1262 0.1262 0.0000 1
Si3 Si 0.3903 0.6577 0.7326 1
Si4 Si 0.6097 0.3423 0.2674 1
Si5 Si 0.8738 0.8738 0.0000 1
Si6 Si 0.9250 0.6577 0.2674 1
P1 P 0.1397 0.0000 0.1397 1
P2 P 0.2105 0.2857 0.9248 1
P3 P 0.3119 0.5000 0.8119 1
P4 P 0.3609 0.2857 0.0752 1
P5 P 0.4387 0.4387 0.0000 1
P6 P 0.5613 0.5613 0.0000 1
P7 P 0.6391 0.7143 0.9248 1
P8 P 0.6881 0.5000 0.1881 1
P9 P 0.7895 0.7143 0.0752 1
P10 P 0.8603 0.0000 0.8603 1
```